For FeCl2, a crystal structure in OQMD, relaxed with GGA-PBE gives the simulated powder diffraction line list in this record (copper Kα).
Peak positions follow from Bragg's law for the DFT cell and can differ from measured ones.

The 6 most intense peaks (10 to 90 degrees two-theta), low angle first:
d [Å]	2theta	I (rel.)	index
5.935	14.93	80	0 0 3
2.993	29.86	32	1 0 1
2.508	35.80	100	1 0 4
1.950	46.58	15	1 0 7
1.795	50.87	32	0 1 8
1.753	52.19	30	1 1 0

Structural model:
```
data_FeCl2
_symmetry_space_group_name_H-M 'R -3 m'
_symmetry_Int_Tables_number 166
_symmetry_space_group_name_Hall '-R 3 2"'
_cell_length_a 3.5055
_cell_length_b 3.5055
_cell_length_c 17.8037
_cell_angle_alpha 90.00
_cell_angle_beta 90.00
_cell_angle_gamma 120.00
loop_
_atom_site_label
_atom_site_type_symbol
_atom_site_fract_x
_atom_site_fract_y
_atom_site_fract_z
Fe1 Fe 0.0000 0.0000 0.0000
Cl1 Cl 0.0000 0.0000 0.2549
```

---

For Ge4Ir3Pd, a crystal structure in OQMD, relaxed with GGA-PBE gives the simulated powder diffraction line list in this record (copper Kα).
Peak positions follow from Bragg's law for the DFT cell and can differ from measured ones.

The 6 most intense peaks (10 to 90 degrees two-theta), low angle first:
d [Å]	2theta	I (rel.)	index
3.096	28.84	100	0 1 1
2.713	33.01	36	1 1 1
2.091	43.28	68	2 1 -1
2.084	43.43	74	2 1 1
1.828	49.88	46	0 1 3
1.768	51.70	36	0 2 0

Structural model:
```
data_Ge4Ir3Pd
_symmetry_space_group_name_H-M 'P 1 m 1'
_symmetry_Int_Tables_number 6
_symmetry_space_group_name_Hall 'P -2y'
_cell_length_a 5.6511
_cell_length_b 3.5365
_cell_length_c 6.4076
_cell_angle_alpha 90.00
_cell_angle_beta 90.40
_cell_angle_gamma 90.00
loop_
_atom_site_label
_atom_site_type_symbol
_atom_site_fract_x
_atom_site_fract_y
_atom_site_fract_z
Ge1 Ge 0.0000 0.0000 0.0000
Ge2 Ge 0.1127 0.5000 0.5036
Ge3 Ge 0.4815 0.0000 0.3577
Ge4 Ge 0.6034 0.5000 0.8493
Ir1 Ir 0.2984 0.5000 0.1300
Ir2 Ir 0.3027 0.0000 0.7233
Ir3 Ir 0.8027 0.0000 0.6365
Pd1 Pd 0.7966 0.5000 0.2278
```

---

For AlB2W2, a crystal structure in OQMD, relaxed with GGA-PBE gives the simulated powder diffraction line list in this record (copper Kα).
Peak positions follow from Bragg's law for the DFT cell and can differ from measured ones.

The 6 most intense peaks (10 to 90 degrees two-theta), low angle first:
d [Å]	2theta	I (rel.)	index
3.142	28.41	87	0 0 1
2.892	30.93	59	0 4 0
2.412	37.28	100	1 3 0
2.165	41.73	82	1 1 1
2.128	42.49	77	0 4 1
1.913	47.53	84	1 3 1

Structural model:
```
data_AlB2W2
_symmetry_space_group_name_H-M 'C m m m'
_symmetry_Int_Tables_number 65
_symmetry_space_group_name_Hall '-C 2 2'
_cell_length_a 3.0914
_cell_length_b 11.5663
_cell_length_c 3.1415
_cell_angle_alpha 90.00
_cell_angle_beta 90.00
_cell_angle_gamma 90.00
loop_
_atom_site_label
_atom_site_type_symbol
_atom_site_fract_x
_atom_site_fract_y
_atom_site_fract_z
Al1 Al 0.0000 0.0000 0.0000
B1 B 0.0000 0.2057 0.0000
W1 W 0.0000 0.3570 0.5000
```